(1)
For MoS2Cl6, a DFT-relaxed cell (PBE, Alexandria) gives the simulated X-ray powder pattern in this record (copper Kα).
Kinematic intensities with the Lorentz-polarization factor, no thermal factor.

Structural model:
```
MoS2Cl6
1.0
3.923 2.265 6.122
-3.923 2.265 6.122
0.000 -4.530 6.122
Mo S Cl
1 2 6
Direct
0.000 0.000 0.000
0.217 0.217 0.217
0.318 0.318 0.318
0.206 0.798 0.226
0.213 0.781 0.797
0.226 0.206 0.798
0.781 0.797 0.213
0.797 0.213 0.781
0.798 0.226 0.206
```

Top 8 peaks for 5 to 70 degrees two-theta, sorted by position:
2θ (°)  d (Å)  I_rel
13.90  6.373  100.0
14.47  6.122  29.4
16.23  5.462  42.8
26.99  3.303  18.1
28.00  3.186  16.2
32.79  2.731  42.5
37.26  2.413  18.0
42.97  2.105  16.4



(2)
For Na3Pm3GeS8, a DFT-relaxed cell (PBE, Alexandria) gives the simulated X-ray powder pattern in this record (copper Kα).
Kinematic intensities with the Lorentz-polarization factor, no thermal factor.

Structural model:
```
Na3Pm3GeS8
1.0
4.010 2.315 6.734
-4.010 2.315 6.734
0.000 -4.630 6.734
Na Pm Ge S
3 3 1 8
Direct
0.000 0.500 0.500
0.500 0.000 0.500
0.500 0.500 0.000
0.000 0.000 0.500
0.000 0.500 0.000
0.500 0.000 0.000
0.500 0.500 0.500
0.244 0.244 0.244
0.276 0.719 0.719
0.281 0.281 0.724
0.281 0.724 0.281
0.719 0.276 0.719
0.719 0.719 0.276
0.724 0.281 0.281
0.756 0.756 0.756
```

Top 8 peaks for 5 to 70 degrees two-theta, sorted by position:
2θ (°)  d (Å)  I_rel
13.15  6.734  93.0
26.04  3.422  41.0
27.16  3.284  22.1
31.26  2.861  100.0
40.65  2.219  21.3
44.36  2.042  34.1
45.23  2.005  33.5
47.31  1.921  21.4



(3)
For KB2As2, a DFT-relaxed cell (PBE, Alexandria) gives the simulated X-ray powder pattern in this record (copper Kα).
Kinematic intensities with the Lorentz-polarization factor, no thermal factor.

Structural model:
```
KB2As2
1.0
3.719 0.000 0.000
0.000 3.719 0.000
0.000 0.000 13.923
K B As
2 4 4
Direct
0.000 0.000 0.000
0.500 0.500 0.500
0.000 0.500 0.250
0.000 0.500 0.750
0.500 0.000 0.250
0.500 0.000 0.750
0.000 0.000 0.335
0.000 0.000 0.665
0.500 0.500 0.165
0.500 0.500 0.835
```

Top 8 peaks for 5 to 70 degrees two-theta, sorted by position:
2θ (°)  d (Å)  I_rel
12.72  6.961  15.7
30.81  2.902  100.0
34.10  2.630  31.8
38.81  2.320  11.1
48.99  1.859  15.0
52.60  1.740  24.0
59.00  1.566  29.3
65.33  1.428  11.3